1.
This entry pairs a crystal structure of LiAgAsO4 with its calculated powder diffraction line list. Radiation: λ = 1.5418 Å (Cu Kα). Structure: a crystal structure in Alexandria, relaxed with PBE.
Kinematic intensities with the Lorentz-polarization factor, no thermal factor.

Atomic structure:
```
LiAgAsO4
1.0
-2.409 2.409 4.346
2.409 -2.409 4.346
2.409 2.409 -4.346
Li Ag As O
1 1 1 4
Cartesian
0.000 0.000 0.000 Li
0.000 2.409 2.173 Ag
2.409 0.000 2.173 As
1.540 -1.122 3.154 O
1.287 0.869 1.192 O
0.869 3.531 -1.192 O
1.122 1.540 5.539 O
```

Main lines, in order of rising 2θ (2θ = 10–90°):
20.4°, rel. 79.6
26.2°, rel. 80.3
33.4°, rel. 100.0
37.3°, rel. 17.7
42.9°, rel. 36.9
49.8°, rel. 25.1
53.8°, rel. 15.7
57.1°, rel. 27.7
58.2°, rel. 16.7
64.8°, rel. 25.3

---

2.
This entry pairs a crystal structure of MgAg2AsSe4 with its calculated powder diffraction line list. Radiation: λ = 1.5418 Å (Cu Kα). Structure: a crystal structure in Alexandria, relaxed with PBE.
Kinematic intensities with the Lorentz-polarization factor, no thermal factor.

Atomic structure:
```
MgAg2AsSe4
1.0
6.123 0.000 0.000
0.000 6.123 0.000
3.060 3.061 5.850
Mg Ag As Se
1 2 1 4
Cartesian
0.000 0.000 0.000 Mg
3.055 6.125 2.923 Ag
6.120 6.126 5.848 Ag
6.119 3.064 2.923 As
1.444 1.579 1.488 Se
4.633 7.739 4.356 Se
4.673 4.552 1.490 Se
7.606 4.509 4.359 Se
```

Main lines, in order of rising 2θ (2θ = 10–90°):
16.3°, rel. 9.6
25.6°, rel. 100.0
41.7°, rel. 26.1
42.8°, rel. 49.0
49.6°, rel. 31.0
51.4°, rel. 15.2
60.5°, rel. 8.3
68.3°, rel. 12.5
76.9°, rel. 16.1
79.0°, rel. 7.7

---

3.
This entry pairs a crystal structure of Mn2AgAs with its calculated powder diffraction line list. Radiation: λ = 1.5418 Å (Cu Kα). Structure: a crystal structure in Alexandria, relaxed with PBE.
Kinematic intensities with the Lorentz-polarization factor, no thermal factor.

Atomic structure:
```
Mn2AgAs
1.0
-1.798 2.011 4.443
1.798 -2.011 4.443
1.798 2.011 -4.443
Mn Ag As
2 1 1
Cartesian
0.000 0.000 0.000 Mn
0.000 2.011 2.183 Mn
1.798 0.000 2.302 Ag
0.000 0.000 4.547 As
```

Main lines, in order of rising 2θ (2θ = 10–90°):
39.3°, rel. 100.0
40.6°, rel. 22.2
45.1°, rel. 16.6
50.8°, rel. 11.5
62.3°, rel. 11.7
67.0°, rel. 9.3
73.0°, rel. 13.9
79.2°, rel. 11.5
84.4°, rel. 9.7
87.8°, rel. 9.0